(1)
# Na3Hg2Pd4
Calculated X-ray powder pattern, Cu Kα, 1.54184 Å. Input: the GGA-PBE geometry in Alexandria.

Top 12 peaks for 10° ≤ 2θ ≤ 90°, sorted by position:
h k l	Position (°2θ)	I/Imax
2 0 0	17.44	40
2 0 -1	19.09	100
0 0 2	20.72	14
1 1 1	24.01	17
3 1 0	32.73	26
4 0 -1	35.49	25
1 1 -3	37.02	26
0 2 0	38.84	34
1 1 3	39.02	59
3 1 2	40.97	41
2 2 -1	43.63	25
4 0 -3	44.47	16

Structure:
```
data_Na3Hg2Pd4
_chemical_formula_sum 'Na6 Hg4 Pd8'
_space_group_name_H-M_alt 'C 1 2/m 1'
_space_group_IT_number 12
_space_group_name_Hall '-C 2y'
_cell_length_a 10.256
_cell_length_b 4.637
_cell_length_c 8.648
_cell_angle_alpha 90.00
_cell_angle_beta 97.54
_cell_angle_gamma 90.00
loop_
_atom_site_label
_atom_site_type_symbol
_atom_site_fract_x
_atom_site_fract_y
_atom_site_fract_z
Na1 Na 0.000 0.000 0.000
Na2 Na 0.123 0.500 0.384
Hg1 Hg 0.187 0.500 0.758
Pd1 Pd 0.085 0.000 0.629
Pd2 Pd 0.245 0.500 0.084
```


(2)
# NaHg6Pd4
Calculated X-ray powder pattern, Cu Kα, 1.54184 Å. Input: the GGA-PBE geometry in Alexandria.

Top 12 peaks for 10° ≤ 2θ ≤ 90°, sorted by position:
h k l	Position (°2θ)	I/Imax
1 1 0	15.14	53
2 0 -2	24.81	51
1 3 0	29.27	51
2 2 -2	30.55	85
0 0 2	35.20	19
4 0 -2	35.62	18
1 3 -2	38.67	100
3 3 -1	38.83	28
2 0 1	39.60	57
2 4 -1	39.84	37
4 2 -2	39.95	35
2 4 1	54.25	20

Structure:
```
data_NaHg6Pd4
_chemical_formula_sum 'Na2 Hg12 Pd8'
_space_group_name_H-M_alt 'C 1 m 1'
_space_group_IT_number 8
_space_group_name_Hall 'C -2y'
_cell_length_a 10.082
_cell_length_b 10.127
_cell_length_c 7.169
_cell_angle_alpha 90.00
_cell_angle_beta 134.67
_cell_angle_gamma 90.00
loop_
_atom_site_label
_atom_site_type_symbol
_atom_site_fract_x
_atom_site_fract_y
_atom_site_fract_z
Na1 Na 0.000 0.000 0.000
Hg1 Hg 0.105 0.000 0.568
Hg2 Hg 0.215 0.323 0.431
Hg3 Hg 0.249 0.250 0.000
Hg4 Hg 0.462 0.000 0.568
Pd1 Pd 0.235 0.500 0.142
Pd2 Pd 0.405 0.000 0.141
Pd3 Pd 0.427 0.165 0.856
```


(3)
# NaHg2Pd3
Calculated X-ray powder pattern, Cu Kα, 1.54184 Å. Input: the GGA-PBE geometry in Alexandria.

Top 12 peaks for 10° ≤ 2θ ≤ 90°, sorted by position:
h k l	Position (°2θ)	I/Imax
1 0 1	23.26	25
0 0 3	23.53	7
0 1 2	27.00	8
1 1 0	38.38	100
1 0 4	38.73	96
1 1 3	45.51	7
0 2 4	55.66	33
3 0 0	69.40	17
2 1 4	69.63	34
0 1 8	70.34	17
2 2 0	82.19	11
2 0 8	83.08	12

Structure:
```
data_NaHg2Pd3
_chemical_formula_sum 'Na2 Hg4 Pd6'
_space_group_name_H-M_alt 'P -3 m 1'
_space_group_IT_number 164
_space_group_name_Hall '-P 3 2"'
_cell_length_a 4.6912
_cell_length_b 4.6912
_cell_length_c 11.3406
_cell_angle_alpha 90.00
_cell_angle_beta 90.00
_cell_angle_gamma 120.00
loop_
_atom_site_label
_atom_site_type_symbol
_atom_site_fract_x
_atom_site_fract_y
_atom_site_fract_z
Na1 Na 0.3333 0.6667 0.1693
Hg1 Hg 0.0000 0.0000 0.0000
Hg2 Hg 0.0000 0.0000 0.5000
Hg3 Hg 0.3333 0.6667 0.6741
Pd1 Pd 0.0000 0.0000 0.2537
Pd2 Pd 0.3333 0.6667 0.4227
Pd3 Pd 0.3333 0.6667 0.9222
```


(4)
# Na3Hg3Pd
Calculated X-ray powder pattern, Cu Kα, 1.54184 Å. Input: the GGA-PBE geometry in Alexandria.

Top 12 peaks for 10° ≤ 2θ ≤ 90°, sorted by position:
h k l	Position (°2θ)	I/Imax
1 1 0	14.76	28
0 0 2	18.93	88
0 2 1	19.83	33
2 2 0	29.77	47
1 3 -1	30.29	31
1 3 1	30.64	59
2 2 -2	34.90	100
2 2 2	36.12	37
3 1 0	37.39	23
0 0 4	38.43	38
3 1 1	39.07	27
1 3 3	41.47	59

Structure:
```
data_Na3Hg3Pd
_chemical_formula_sum 'Na12 Hg12 Pd4'
_space_group_name_H-M_alt 'C 1 2/m 1'
_space_group_IT_number 12
_space_group_name_Hall '-C 2y'
_cell_length_a 7.434
_cell_length_b 10.193
_cell_length_c 9.387
_cell_angle_alpha 90.00
_cell_angle_beta 92.59
_cell_angle_gamma 90.00
loop_
_atom_site_label
_atom_site_type_symbol
_atom_site_fract_x
_atom_site_fract_y
_atom_site_fract_z
Na1 Na 0.000 0.166 0.000
Na2 Na 0.000 0.247 0.500
Na3 Na 0.095 0.500 0.787
Hg1 Hg 0.034 0.000 0.313
Hg2 Hg 0.222 0.304 0.238
Pd1 Pd 0.192 0.500 0.461
```


(5)
# Na2Hg5Pd5
Calculated X-ray powder pattern, Cu Kα, 1.54184 Å. Input: the GGA-PBE geometry in Alexandria.

Top 12 peaks for 10° ≤ 2θ ≤ 90°, sorted by position:
h k l	Position (°2θ)	I/Imax
0 1 1	17.88	88
0 0 2	18.07	41
0 2 0	31.11	17
1 2 0	36.90	40
1 1 3	37.20	100
2 0 0	39.29	45
1 2 2	41.38	87
1 0 4	41.75	21
2 1 1	43.50	28
1 3 3	59.41	26
3 2 2	72.64	17
2 2 6	79.27	18

Structure:
```
data_Na2Hg5Pd5
_chemical_formula_sum 'Na2 Hg5 Pd5'
_space_group_name_H-M_alt 'P m m m'
_space_group_IT_number 47
_space_group_name_Hall '-P 2 2'
_cell_length_a 4.587
_cell_length_b 5.750
_cell_length_c 9.816
_cell_angle_alpha 90.00
_cell_angle_beta 90.00
_cell_angle_gamma 90.00
loop_
_atom_site_label
_atom_site_type_symbol
_atom_site_fract_x
_atom_site_fract_y
_atom_site_fract_z
Na1 Na 0.000 0.000 0.000
Na2 Na 0.000 0.500 0.500
Hg1 Hg 0.000 0.000 0.305
Hg2 Hg 0.000 0.500 0.166
Hg3 Hg 0.500 0.000 0.500
Pd1 Pd 0.500 0.255 0.252
Pd2 Pd 0.500 0.500 0.000
```


(6)
# Na2Hg5Pd2Pt
Calculated X-ray powder pattern, Cu Kα, 1.54184 Å. Input: the GGA-PBE geometry in Alexandria.

Top 12 peaks for 10° ≤ 2θ ≤ 90°, sorted by position:
h k l	Position (°2θ)	I/Imax
2 0 0	16.37	25
2 1 0	18.32	33
0 0 1	23.97	15
2 2 1	33.62	14
4 1 0	34.13	25
3 1 1	35.66	100
4 2 0	37.12	15
3 2 1	38.55	33
4 1 1	42.14	26
0 0 2	49.07	18
6 2 0	53.51	14
5 5 1	65.97	15

Structure:
```
data_Na2Hg5Pd2Pt
_chemical_formula_sum 'Na4 Hg10 Pd4 Pt2'
_space_group_name_H-M_alt 'P 4/m b m'
_space_group_IT_number 127
_space_group_name_Hall '-P 4 2ab'
_cell_length_a 10.831
_cell_length_b 10.831
_cell_length_c 3.713
_cell_angle_alpha 90.00
_cell_angle_beta 90.00
_cell_angle_gamma 90.00
loop_
_atom_site_label
_atom_site_type_symbol
_atom_site_fract_x
_atom_site_fract_y
_atom_site_fract_z
Na1 Na 0.171 0.329 0.000
Hg1 Hg 0.000 0.500 0.500
Hg2 Hg 0.066 0.809 0.500
Pd1 Pd 0.132 0.632 0.000
Pt1 Pt 0.000 0.000 0.000
```


(7)
# NaSr2Hg6Pd
Calculated X-ray powder pattern, Cu Kα, 1.54184 Å. Input: the GGA-PBE geometry in Alexandria.

Top 12 peaks for 10° ≤ 2θ ≤ 90°, sorted by position:
h k l	Position (°2θ)	I/Imax
2 0 0	16.39	23
2 2 2	28.58	100
4 0 0	33.12	76
4 2 0	37.16	12
4 4 0	47.54	56
6 0 0	50.62	7
6 2 2	56.41	46
4 4 4	59.16	19
8 0 0	69.51	9
6 6 2	76.81	19
8 4 0	79.19	26
8 4 4	88.56	20

Structure:
```
data_NaSr2Hg6Pd
_chemical_formula_sum 'Na4 Sr8 Hg24 Pd4'
_space_group_name_H-M_alt 'F m -3 m'
_space_group_IT_number 225
_space_group_name_Hall '-F 4 2 3'
_cell_length_a 10.819
_cell_length_b 10.819
_cell_length_c 10.819
_cell_angle_alpha 90.00
_cell_angle_beta 90.00
_cell_angle_gamma 90.00
loop_
_atom_site_label
_atom_site_type_symbol
_atom_site_fract_x
_atom_site_fract_y
_atom_site_fract_z
Na1 Na 0.000 0.000 0.000
Sr1 Sr 0.250 0.250 0.250
Hg1 Hg 0.000 0.000 0.253
Pd1 Pd 0.000 0.000 0.500
```


(8)
# Na2TlHg2Pd5
Calculated X-ray powder pattern, Cu Kα, 1.54184 Å. Input: the GGA-PBE geometry in Alexandria.

Top 12 peaks for 10° ≤ 2θ ≤ 90°, sorted by position:
h k l	Position (°2θ)	I/Imax
2 0 0	18.14	17
2 1 0	20.30	55
2 2 1	33.78	15
3 1 1	36.26	100
3 2 1	39.73	37
4 2 0	41.28	11
4 0 1	42.96	9
0 0 2	43.73	22
4 1 1	44.00	10
2 1 2	48.67	11
4 4 0	52.96	9
3 1 3	75.44	12

Structure:
```
data_Na2TlHg2Pd5
_chemical_formula_sum 'Na4 Tl2 Hg4 Pd10'
_space_group_name_H-M_alt 'P 4/m b m'
_space_group_IT_number 127
_space_group_name_Hall '-P 4 2ab'
_cell_length_a 9.780
_cell_length_b 9.780
_cell_length_c 4.140
_cell_angle_alpha 90.00
_cell_angle_beta 90.00
_cell_angle_gamma 90.00
loop_
_atom_site_label
_atom_site_type_symbol
_atom_site_fract_x
_atom_site_fract_y
_atom_site_fract_z
Na1 Na 0.170 0.330 0.000
Tl1 Tl 0.000 0.000 0.000
Hg1 Hg 0.129 0.629 0.000
Pd1 Pd 0.000 0.500 0.500
Pd2 Pd 0.064 0.804 0.500
```


(9)
# Na2PmHg7
Calculated X-ray powder pattern, Cu Kα, 1.54184 Å. Input: the GGA-PBE geometry in Alexandria.

Top 12 peaks for 10° ≤ 2θ ≤ 90°, sorted by position:
h k l	Position (°2θ)	I/Imax
0 1 1	21.16	16
0 1 2	24.93	34
0 1 3	30.25	46
1 1 0	34.56	100
1 0 4	36.52	60
2 0 3	46.58	14
0 2 4	51.16	23
1 2 3	59.28	14
3 0 0	61.93	19
0 0 8	63.22	27
2 2 0	72.90	12
1 3 4	84.40	11

Structure:
```
data_Na2PmHg7
_chemical_formula_sum 'Na2 Pm1 Hg7'
_space_group_name_H-M_alt 'P 3 m 1'
_space_group_IT_number 156
_space_group_name_Hall 'P 3 -2"'
_cell_length_a 5.1901
_cell_length_b 5.1901
_cell_length_c 11.7602
_cell_angle_alpha 90.00
_cell_angle_beta 90.00
_cell_angle_gamma 120.00
loop_
_atom_site_label
_atom_site_type_symbol
_atom_site_fract_x
_atom_site_fract_y
_atom_site_fract_z
Na1 Na 0.0000 0.0000 0.0000
Na2 Na 0.3333 0.6667 0.5976
Pm1 Pm 0.6667 0.3333 0.3648
Hg1 Hg 0.0000 0.0000 0.2514
Hg2 Hg 0.0000 0.0000 0.5020
Hg3 Hg 0.0000 0.0000 0.7513
Hg4 Hg 0.3333 0.6667 0.2748
Hg5 Hg 0.3333 0.6667 0.8923
Hg6 Hg 0.6667 0.3333 0.0900
Hg7 Hg 0.6667 0.3333 0.6435
```


(10)
# NaPm2Hg3
Calculated X-ray powder pattern, Cu Kα, 1.54184 Å. Input: the GGA-PBE geometry in Alexandria.

Top 12 peaks for 10° ≤ 2θ ≤ 90°, sorted by position:
h k l	Position (°2θ)	I/Imax
1 0 0	23.58	11
1 0 3	33.28	100
1 1 0	33.59	49
0 0 6	47.31	9
2 0 0	48.24	18
1 1 6	59.26	19
2 1 3	59.87	38
2 0 6	69.87	12
1 0 9	78.92	8
3 0 3	80.33	8
3 1 0	80.50	8
2 2 6	89.42	7

Structure:
```
data_NaPm2Hg3
_chemical_formula_sum 'Na1 Pm2 Hg3'
_space_group_name_H-M_alt 'P 4/m m m'
_space_group_IT_number 123
_space_group_name_Hall '-P 4 2'
_cell_length_a 3.773
_cell_length_b 3.773
_cell_length_c 11.529
_cell_angle_alpha 90.00
_cell_angle_beta 90.00
_cell_angle_gamma 90.00
loop_
_atom_site_label
_atom_site_type_symbol
_atom_site_fract_x
_atom_site_fract_y
_atom_site_fract_z
Na1 Na 0.000 0.000 0.000
Pm1 Pm 0.000 0.000 0.332
Hg1 Hg 0.500 0.500 0.173
Hg2 Hg 0.500 0.500 0.500
```


(11)
# NaPrHg4
Calculated X-ray powder pattern, Cu Kα, 1.54184 Å. Input: the GGA-PBE geometry in Alexandria.

Top 12 peaks for 10° ≤ 2θ ≤ 90°, sorted by position:
h k l	Position (°2θ)	I/Imax
0 1 1	16.08	20
1 0 1	20.25	21
0 2 0	24.57	54
1 2 1	32.04	87
0 2 2	32.49	50
2 0 0	35.04	55
1 0 3	36.28	100
2 2 0	43.26	25
1 2 3	44.31	47
2 2 2	48.53	33
2 4 0	62.83	17
3 0 3	63.65	53

Structure:
```
data_NaPrHg4
_chemical_formula_sum 'Na2 Pr2 Hg8'
_space_group_name_H-M_alt 'I m m 2'
_space_group_IT_number 44
_space_group_name_Hall 'I 2 -2'
_cell_length_a 5.121
_cell_length_b 7.247
_cell_length_c 8.487
_cell_angle_alpha 90.00
_cell_angle_beta 90.00
_cell_angle_gamma 90.00
loop_
_atom_site_label
_atom_site_type_symbol
_atom_site_fract_x
_atom_site_fract_y
_atom_site_fract_z
Na1 Na 0.000 0.000 0.000
Pr1 Pr 0.000 0.500 0.999
Hg1 Hg 0.000 0.232 0.670
Hg2 Hg 0.000 0.233 0.329
```


(12)
# NaPrHg4
Calculated X-ray powder pattern, Cu Kα, 1.54184 Å. Input: the GGA-PBE geometry in Alexandria.

Top 12 peaks for 10° ≤ 2θ ≤ 90°, sorted by position:
h k l	Position (°2θ)	I/Imax
2 0 0	18.05	12
1 1 -2	31.83	100
3 1 0	35.25	77
2 0 2	35.70	37
4 0 -2	35.81	37
0 2 0	44.80	20
2 0 -4	46.45	17
4 2 -2	58.60	36
1 1 4	59.54	17
5 1 -4	59.70	17
5 1 2	65.92	12
7 1 -2	66.07	13

Structure:
```
data_NaPrHg4
_chemical_formula_sum 'Na2 Pr2 Hg8'
_space_group_name_H-M_alt 'C 1 2/m 1'
_space_group_IT_number 12
_space_group_name_Hall '-C 2y'
_cell_length_a 10.567
_cell_length_b 4.046
_cell_length_c 7.820
_cell_angle_alpha 90.00
_cell_angle_beta 111.53
_cell_angle_gamma 90.00
loop_
_atom_site_label
_atom_site_type_symbol
_atom_site_fract_x
_atom_site_fract_y
_atom_site_fract_z
Na1 Na 0.000 0.000 0.000
Pr1 Pr 0.000 0.000 0.500
Hg1 Hg 0.165 0.500 0.324
Hg2 Hg 0.171 0.500 0.841
```